1.
The following is a simulated PXRD pattern of Co14W. It was derived from a crystal structure in OQMD, relaxed with PBE, using CuKα.
Neutral-atom scattering factors, no anomalous dispersion.

The 10 most intense peaks (10° ≤ 2θ ≤ 90°), by intensity:
47.73 deg, I 100
43.04 deg, I 59
45.27 deg, I 42
46.53 deg, I 41
44.35 deg, I 38
78.04 deg, I 30
48.94 deg, I 30
22.19 deg, I 27
52.50 deg, I 25
39.91 deg, I 23

Structural model:
```
data_Co14W
_chemical_formula_sum 'Co28 W2'
_symmetry_space_group_name_H-M 'P 42/m n m'
_symmetry_Int_Tables_number 136
_symmetry_space_group_name_Hall '-P 4n 2n'
_cell_length_a 8.6648
_cell_length_b 8.6648
_cell_length_c 4.5181
_cell_angle_alpha 90.00
_cell_angle_beta 90.00
_cell_angle_gamma 90.00
loop_
_atom_site_label
_atom_site_fract_x
_atom_site_fract_y
_atom_site_fract_z
Co1 0.0394 0.3678 0.0000
Co2 0.0677 0.2690 0.5000
Co3 0.1026 0.1026 0.0000
Co4 0.1861 0.8139 0.2481
W1 0.0000 0.0000 0.5000
```



2.
The following is a simulated PXRD pattern of LiAgO2. It was derived from a crystal structure in OQMD, relaxed with PBE, using CuKα.
Neutral-atom scattering factors, no anomalous dispersion.

The 10 most intense peaks (10° ≤ 2θ ≤ 90°), by intensity:
34.21 deg, I 100
18.09 deg, I 93
28.78 deg, I 66
56.28 deg, I 40
45.29 deg, I 39
47.26 deg, I 32
70.56 deg, I 22
41.16 deg, I 16
64.43 deg, I 15
59.61 deg, I 14

Structural model:
```
data_LiAgO2
_chemical_formula_sum 'Li2 Ag2 O4'
_symmetry_space_group_name_H-M 'P 42/m m c'
_symmetry_Int_Tables_number 131
_symmetry_space_group_name_Hall '-P 4c 2'
_cell_length_a 3.1018
_cell_length_b 3.1018
_cell_length_c 9.8069
_cell_angle_alpha 90.00
_cell_angle_beta 90.00
_cell_angle_gamma 90.00
loop_
_atom_site_label
_atom_site_fract_x
_atom_site_fract_y
_atom_site_fract_z
Li1 0.0000 0.0000 0.2500
Ag1 0.5000 0.5000 0.0000
O1 0.0000 0.5000 0.1344
```